Starting from a crystal structure in the Materials Project, relaxed with GGA-PBE, the powder X-ray diffraction pattern of Sr2La2CuRuO8 was calculated for Cu Kα.

Structure:
Cell lengths 3.8854, 3.8854, 12.7103 Å; angles 90.00, 90.00, 90.00 degrees
Space group P4/mmm (No. 123)
Symmetry-distinct sites (fractional):
Sr1 0.0000 0.0000 0.1420 (multiplicity 2)
La1 0.5000 0.5000 0.3588 (multiplicity 2)
Cu1 0.0000 0.0000 0.5000 (multiplicity 1)
Ru1 0.5000 0.5000 0.0000 (multiplicity 1)
O1 0.0000 0.0000 0.3277 (multiplicity 2)
O2 0.0000 0.5000 0.0000 (multiplicity 2)
O3 0.0000 0.5000 0.5000 (multiplicity 2)
O4 0.5000 0.5000 0.1699 (multiplicity 2)

Largest 12 diffraction maxima, in order of rising 2θ, 2θ from 5° to 70°:
2θ/deg	I/Imax	(hkl)
13.93	9.1	0 0 2
31.24	100.0	1 0 3
32.59	68.0	1 1 0
42.50	18.1	1 0 5
42.68	12.9	0 0 6
43.55	16.7	1 1 4
46.76	34.9	2 0 0
54.71	14.8	1 1 6
57.31	36.6	2 1 3
65.01	9.5	2 1 5
65.15	13.2	2 0 6
68.24	16.6	2 2 0

Starting from a crystal structure in the Materials Project, relaxed with GGA-PBE, the powder X-ray diffraction pattern of CsNdHgSe3 was calculated for Cu Kα.

Structure:
Cell lengths 4.4094, 16.3680, 11.4127 Å; angles 90.00, 90.00, 90.00 degrees
Space group Cmcm (No. 63)
Symmetry-distinct sites (fractional):
Cs1 0.0000 0.2436 0.2500 (multiplicity 4)
Nd1 0.0000 0.5000 0.0000 (multiplicity 4)
Hg1 0.0000 0.0439 0.7500 (multiplicity 4)
Se1 0.0000 0.1214 0.5471 (multiplicity 8)
Se2 0.0000 0.4387 0.7500 (multiplicity 4)

Largest 12 diffraction maxima, in order of rising 2θ, 2θ from 5° to 70°:
2θ/deg	I/Imax	(hkl)
10.81	84.1	0 2 0
26.11	21.5	1 1 2
27.15	100.0	1 3 1
30.41	51.4	1 3 2
31.35	44.0	0 0 4
35.23	22.4	1 3 3
37.68	32.7	1 5 2
40.93	28.6	2 0 0
44.57	16.9	1 7 1
47.87	34.6	1 3 5
50.26	24.8	1 7 3
52.45	20.7	2 0 4

Starting from a crystal structure in the Materials Project, relaxed with GGA-PBE, the powder X-ray diffraction pattern of Pm2NiGe was calculated for Cu Kα.

Structure:
Cell lengths 7.2034, 7.2034, 7.2034 Å; angles 90.00, 90.00, 90.00 degrees
Space group Fm-3m (No. 225)
Symmetry-distinct sites (fractional):
Pm1 0.2500 0.2500 0.2500 (multiplicity 8)
Ni1 0.0000 0.0000 0.0000 (multiplicity 4)
Ge1 0.0000 0.0000 0.5000 (multiplicity 4)

Largest 6 diffraction maxima, in order of rising 2θ, 2θ from 5° to 70°:
2θ/deg	I/Imax	(hkl)
24.72	15.3	2 0 0
35.24	100.0	2 2 0
43.52	4.7	2 2 2
50.69	17.6	4 0 0
57.19	6.5	4 2 0
63.24	35.8	4 2 2

Starting from a crystal structure in the Materials Project, relaxed with GGA-PBE, the powder X-ray diffraction pattern of KMg14Zr was calculated for Cu Kα.

Structure:
Cell lengths 10.3815, 6.6522, 11.3137 Å; angles 90.00, 90.00, 90.00 degrees
Space group Amm2 (No. 38)
Symmetry-distinct sites (fractional):
K1 0.0000 0.0000 0.0000 (multiplicity 2)
Mg1 0.0000 0.2471 0.7504 (multiplicity 4)
Mg2 0.2463 0.0000 0.6625 (multiplicity 4)
Mg3 0.2575 0.2390 0.4144 (multiplicity 8)
Mg4 0.2600 0.0000 0.1713 (multiplicity 4)
Mg5 0.5000 0.0000 0.4992 (multiplicity 2)
Mg6 0.5000 0.0000 0.9979 (multiplicity 2)
Mg7 0.5000 0.2481 0.7479 (multiplicity 4)
Zr1 0.0000 0.0000 0.4905 (multiplicity 2)

Largest 12 diffraction maxima, in order of rising 2θ, 2θ from 5° to 70°:
2θ/deg	I/Imax	(hkl)
8.52	22.2	1 0 0
17.86	10.5	1 0 2
31.19	24.6	0 2 2
31.63	13.7	0 0 4
34.56	35.6	4 0 0
35.78	100.0	2 2 2
36.17	45.7	2 0 4
47.24	14.6	4 2 2
56.06	16.8	0 2 6
62.71	18.8	6 2 2
67.56	17.8	4 2 6
67.82	13.0	2 4 4